Entry 1:
Structure and calculated XRD peak list of La2PrDy2Er (a cell relaxed with GGA-PBE; Cu Kα (λ = 1.5418 Å)).
Lines closer than 0.1° are merged.

Main lines, in order of falling intensity (2θ = 10–90°):
Position (°2θ)	I (rel.)
31.16	100
30.84	92
55.24	35
44.41	34
61.15	29
55.44	19
78.81	14
40.32	11
73.61	10
51.19	8

Structural model:
abc: 7.138 5.747 9.934
angles: 90.00 90.00 90.00
Fractional coordinates of all 12 atoms:
La1 0.000 0.000 0.000
La2 0.250 0.500 0.178
La3 0.500 0.000 0.000
La4 0.750 0.500 0.822
Pr1 0.250 0.000 0.658
Pr2 0.750 0.000 0.342
Dy1 0.250 0.000 0.333
Dy2 0.250 0.500 0.834
Dy3 0.750 0.000 0.667
Dy4 0.750 0.500 0.166
Er1 0.000 0.500 0.500
Er2 0.500 0.500 0.500

***

Entry 2:
Structure and calculated XRD peak list of LiLaTi2O6 (a cell relaxed with GGA-PBE; Cu Kα (λ = 1.5418 Å)).
Lines closer than 0.1° are merged.

Main lines, in order of falling intensity (2θ = 10–90°):
Position (°2θ)	I (rel.)
15.97	100
32.48	73
28.09	54
32.27	40
43.30	37
46.28	36
57.68	30
36.20	24
68.02	19
39.97	18

Structural model:
abc: 7.748 5.546 5.551
angles: 90.00 90.00 90.00
Fractional coordinates of all 20 atoms:
Li1 0.000 0.000 0.000
Li2 0.500 0.000 0.000
La1 0.250 0.500 0.493
La2 0.750 0.500 0.507
Ti1 0.000 0.000 0.500
Ti2 0.000 0.500 0.000
Ti3 0.500 0.000 0.500
Ti4 0.500 0.500 0.000
O1 0.024 0.259 0.742
O2 0.024 0.741 0.742
O3 0.250 0.000 0.452
O4 0.250 0.500 0.053
O5 0.476 0.259 0.742
O6 0.476 0.741 0.742
O7 0.524 0.259 0.258
O8 0.524 0.741 0.258
O9 0.750 0.000 0.548
O10 0.750 0.500 0.947
O11 0.976 0.259 0.258
O12 0.976 0.741 0.258

***

Entry 3:
Structure and calculated XRD peak list of Sc2Si3Rh (a cell relaxed with GGA-PBE; Cu Kα (λ = 1.5418 Å)).
Lines closer than 0.1° are merged.

Main lines, in order of falling intensity (2θ = 10–90°):
Position (°2θ)	I (rel.)
37.64	100
43.14	80
35.42	56
43.86	53
37.22	42
18.55	42
18.13	41
25.61	39
36.72	36
24.77	34

Structural model:
abc: 5.244 5.244 6.462
angles: 126.88 126.88 46.37
Fractional coordinates of all 6 atoms:
Sc1 0.000 0.000 0.000
Sc2 0.106 0.106 0.602
Si1 0.389 0.389 0.202
Si2 0.413 0.413 0.635
Si3 0.720 0.720 0.414
Rh1 0.725 0.725 0.038

***

Entry 4:
Structure and calculated XRD peak list of ErSc3Sn (a cell relaxed with GGA-PBE; Cu Kα (λ = 1.5418 Å)).
Lines closer than 0.1° are merged.

Main lines, in order of falling intensity (2θ = 10–90°):
Position (°2θ)	I (rel.)
22.64	100
34.47	43
40.62	39
41.64	35
39.76	30
33.26	30
28.48	30
25.65	27
52.77	25
36.69	24

Structural model:
abc: 7.041 7.041 7.041
angles: 67.79 67.79 67.79
Fractional coordinates of all 10 atoms:
Er1 0.000 0.000 0.000
Er2 0.500 0.500 0.500
Sc1 0.029 0.885 0.569
Sc2 0.069 0.385 0.529
Sc3 0.385 0.529 0.069
Sc4 0.529 0.069 0.385
Sc5 0.569 0.029 0.885
Sc6 0.885 0.569 0.029
Sn1 0.188 0.188 0.188
Sn2 0.688 0.688 0.688

***

Entry 5:
Structure and calculated XRD peak list of Ce3Y4Te8 (a cell relaxed with GGA-PBE; Cu Kα (λ = 1.5418 Å)).
Lines closer than 0.1° are merged.

Main lines, in order of falling intensity (2θ = 10–90°):
Position (°2θ)	I (rel.)
28.61	100
40.85	38
40.91	25
67.06	23
50.57	14
50.77	13
74.35	13
59.22	12
41.03	12
74.58	8

Structural model:
abc: 8.824 8.824 8.799
angles: 119.86 119.86 90.08
Fractional coordinates of all 15 atoms:
Ce1 0.000 0.000 0.000
Ce2 0.000 0.500 0.000
Ce3 0.500 0.000 0.000
Y1 0.000 0.500 0.500
Y2 0.500 0.000 0.500
Y3 0.500 0.500 0.000
Y4 0.500 0.500 0.500
Te1 0.248 0.752 0.500
Te2 0.250 0.250 0.507
Te3 0.252 0.252 0.997
Te4 0.253 0.747 0.000
Te5 0.747 0.253 0.000
Te6 0.748 0.748 0.003
Te7 0.750 0.750 0.493
Te8 0.752 0.248 0.500

***

Entry 6:
Structure and calculated XRD peak list of Dy2Y5Er4 (a cell relaxed with GGA-PBE; Cu Kα (λ = 1.5418 Å)).
Lines closer than 0.1° are merged.

Main lines, in order of falling intensity (2θ = 10–90°):
Position (°2θ)	I (rel.)
33.89	100
31.08	95
34.37	95
31.90	74
32.22	71
27.77	67
62.37	46
62.15	46
52.47	42
12.30	40

Structural model:
abc: 12.039 12.039 8.515
angles: 94.81 94.81 16.84
Fractional coordinates of all 11 atoms:
Dy1 0.088 0.088 0.192
Dy2 0.912 0.912 0.808
Y1 0.000 0.000 0.500
Y2 0.315 0.315 0.026
Y3 0.369 0.369 0.452
Y4 0.631 0.631 0.548
Y5 0.685 0.685 0.974
Er1 0.224 0.224 0.329
Er2 0.461 0.461 0.156
Er3 0.539 0.539 0.844
Er4 0.776 0.776 0.671

***

Entry 7:
Structure and calculated XRD peak list of Ta5VW4 (a cell relaxed with GGA-PBE; Cu Kα (λ = 1.5418 Å)).
Lines closer than 0.1° are merged.

Main lines, in order of falling intensity (2θ = 10–90°):
Position (°2θ)	I (rel.)
39.44	100
71.52	35
56.96	12
84.87	11
57.07	6
10.96	2
35.58	1
28.15	1
32.30	1
29.77	1

Structural model:
abc: 3.233 3.233 16.139
angles: 90.00 90.00 90.00
Fractional coordinates of all 10 atoms:
Ta1 0.000 0.000 0.000
Ta2 0.000 0.000 0.202
Ta3 0.000 0.000 0.403
Ta4 0.000 0.000 0.597
Ta5 0.000 0.000 0.798
V1 0.500 0.500 0.500
W1 0.500 0.500 0.101
W2 0.500 0.500 0.303
W3 0.500 0.500 0.697
W4 0.500 0.500 0.899

***

Entry 8:
Structure and calculated XRD peak list of KCuSe2O6 (a cell relaxed with GGA-PBE; Cu Kα (λ = 1.5418 Å)).
Lines closer than 0.1° are merged.

Main lines, in order of falling intensity (2θ = 10–90°):
Position (°2θ)	I (rel.)
27.57	100
32.62	42
55.18	24
43.22	16
45.30	16
58.20	13
19.33	11
75.19	11
57.76	9
67.17	9

Structural model:
abc: 6.685 6.685 6.685
angles: 48.50 48.50 48.50
Fractional coordinates of all 10 atoms:
K1 0.000 0.000 0.000
Cu1 0.500 0.500 0.500
Se1 0.264 0.264 0.264
Se2 0.736 0.736 0.736
O1 0.094 0.689 0.512
O2 0.311 0.488 0.906
O3 0.488 0.906 0.311
O4 0.512 0.094 0.689
O5 0.689 0.512 0.094
O6 0.906 0.311 0.488

***

Entry 9:
Structure and calculated XRD peak list of V2Ru4Pt (a cell relaxed with GGA-PBE; Cu Kα (λ = 1.5418 Å)).
Lines closer than 0.1° are merged.

Main lines, in order of falling intensity (2θ = 10–90°):
Position (°2θ)	I (rel.)
38.81	100
38.37	67
36.35	64
45.22	53
46.06	49
39.09	40
40.35	40
35.02	36
39.54	34
43.17	26

Structural model:
abc: 4.728 5.184 5.277
angles: 105.81 102.04 116.37
Fractional coordinates of all 7 atoms:
V1 0.221 0.214 0.423
V2 0.779 0.786 0.577
Ru1 0.205 0.707 0.412
Ru2 0.213 0.874 0.993
Ru3 0.787 0.126 0.007
Ru4 0.795 0.293 0.588
Pt1 0.500 0.500 0.000

***

Entry 10:
Structure and calculated XRD peak list of La6Y3Er (a cell relaxed with GGA-PBE; Cu Kα (λ = 1.5418 Å)).
Lines closer than 0.1° are merged.

Main lines, in order of falling intensity (2θ = 10–90°):
Position (°2θ)	I (rel.)
30.43	100
33.88	64
30.12	58
32.20	56
30.53	38
33.33	28
23.72	28
49.14	27
46.53	25
26.36	21

Structural model:
abc: 9.104 9.104 9.104
angles: 80.05 80.05 80.05
Fractional coordinates of all 20 atoms:
La1 0.036 0.038 0.332
La2 0.038 0.332 0.036
La3 0.210 0.597 0.211
La4 0.211 0.210 0.597
La5 0.332 0.036 0.038
La6 0.403 0.789 0.790
La7 0.597 0.211 0.210
La8 0.668 0.964 0.962
La9 0.789 0.790 0.403
La10 0.790 0.403 0.789
La11 0.962 0.668 0.964
La12 0.964 0.962 0.668
Y1 0.132 0.602 0.605
Y2 0.395 0.868 0.398
Y3 0.398 0.395 0.868
Y4 0.602 0.605 0.132
Y5 0.605 0.132 0.602
Y6 0.868 0.398 0.395
Er1 0.000 0.000 0.000
Er2 0.500 0.500 0.500

***

Entry 11:
Structure and calculated XRD peak list of La2Au2Se (a cell relaxed with GGA-PBE; Cu Kα (λ = 1.5418 Å)).
Lines closer than 0.1° are merged.

Main lines, in order of falling intensity (2θ = 10–90°):
Position (°2θ)	I (rel.)
33.24	100
34.64	31
15.30	22
31.33	17
39.69	15
58.47	14
45.56	13
46.00	12
62.34	11
65.73	11

Structural model:
abc: 8.189 8.189 3.982
angles: 90.00 90.00 90.00
Fractional coordinates of all 10 atoms:
La1 0.176 0.324 0.000
La2 0.324 0.824 0.000
La3 0.676 0.176 0.000
La4 0.824 0.676 0.000
Au1 0.123 0.623 0.500
Au2 0.377 0.123 0.500
Au3 0.623 0.877 0.500
Au4 0.877 0.377 0.500
Se1 0.000 0.000 0.500
Se2 0.500 0.500 0.500

***

Entry 12:
Structure and calculated XRD peak list of Zn5Cu6Au (a cell relaxed with GGA-PBE; Cu Kα (λ = 1.5418 Å)).
Lines closer than 0.1° are merged.

Main lines, in order of falling intensity (2θ = 10–90°):
Position (°2θ)	I (rel.)
41.51	100
46.74	18
47.20	17
50.92	13
83.14	12
83.81	12
68.60	11
89.45	10
71.59	9
71.95	9

Structural model:
abc: 7.111 7.111 7.111
angles: 148.58 119.42 69.84
Fractional coordinates of all 12 atoms:
Zn1 0.000 0.000 0.000
Zn2 0.170 0.670 0.500
Zn3 0.335 0.335 0.000
Zn4 0.665 0.665 0.000
Zn5 0.830 0.330 0.500
Cu1 0.073 0.830 0.242
Cu2 0.236 0.500 0.736
Cu3 0.412 0.170 0.242
Cu4 0.588 0.830 0.758
Cu5 0.764 0.500 0.264
Cu6 0.927 0.170 0.758
Au1 0.500 0.000 0.500

***

Entry 13:
Structure and calculated XRD peak list of Na2Sb3O8 (a cell relaxed with GGA-PBE; Cu Kα (λ = 1.5418 Å)).
Lines closer than 0.1° are merged.

Main lines, in order of falling intensity (2θ = 10–90°):
Position (°2θ)	I (rel.)
16.12	100
33.94	35
42.32	28
51.04	22
32.72	21
25.54	17
35.27	17
15.85	16
28.49	13
43.79	13

Structural model:
abc: 6.660 6.660 5.382
angles: 106.50 106.50 58.35
Fractional coordinates of all 13 atoms:
Na1 0.215 0.215 0.142
Na2 0.785 0.785 0.858
Sb1 0.236 0.764 0.500
Sb2 0.500 0.500 0.000
Sb3 0.764 0.236 0.500
O1 0.105 0.105 0.453
O2 0.185 0.618 0.112
O3 0.382 0.815 0.888
O4 0.403 0.403 0.600
O5 0.597 0.597 0.400
O6 0.618 0.185 0.112
O7 0.815 0.382 0.888
O8 0.895 0.895 0.547